# Li3Co2P3O12
Simulated powder diffractogram, λ = 1.5418 Å (Cu Kα). Input: a structure optimized by DFT (PBE+U).
Intensities are scaled so that the largest is 100.

Largest 10 diffraction maxima, in order of rising 2θ, 15° ≤ 2θ ≤ 90°:
2θ = 20.27°, intensity 54
2θ = 20.96°, intensity 63
2θ = 21.15°, intensity 29
2θ = 24.12°, intensity 100
2θ = 24.31°, intensity 48
2θ = 29.43°, intensity 31
2θ = 33.26°, intensity 23
2θ = 33.39°, intensity 22
2θ = 33.59°, intensity 21
2θ = 35.46°, intensity 29

Atomic structure:
abc: 14.5314 8.7784 8.4101
angles: 90.00 122.78 90.00
Space group C2 (No. 5)
Symmetry-distinct sites (fractional):
Li  0.0000  0.0000  0.0000 x2
Li  0.0000  0.3027  0.5000 x2
Li  0.2015  0.6960  0.9052 x4
Li  0.2489  0.3939  0.7284 x4
Co  0.1020  0.3997  0.8970 x4
Co  0.1080  0.8951  0.3952 x4
P  0.0000  0.6068  0.5000 x2
P  0.0000  0.6968  0.0000 x2
P  0.1448  0.0453  0.7947 x4
P  0.1493  0.2491  0.2996 x4
O  0.0380  0.3015  0.2667 x4
O  0.0396  0.9925  0.7801 x4
O  0.0621  0.7058  0.4389 x4
O  0.0631  0.6005  0.9362 x4
O  0.0871  0.4997  0.6588 x4
O  0.0872  0.8039  0.1557 x4
O  0.1470  0.9975  0.6220 x4
O  0.1560  0.0733  0.2952 x4
O  0.1618  0.2219  0.8110 x4
O  0.1632  0.3004  0.1368 x4
O  0.2371  0.3179  0.4907 x4
O  0.2394  0.9784  0.9866 x4